The following is a calculated PXRD pattern of KCr2AgO7. It was derived from a GGA+U-relaxed structure, using CuKα.
Lines closer than 0.1° are merged.

```
44
Lattice="15.487 0.000 0.000 0.000 5.929 0.000 0.000 0.000 7.807" Properties=species:S:1:pos:R:3 pbc="T T T"
K 3.273 1.482 1.118
K 4.471 4.447 5.022
K 11.016 1.482 2.786
K 12.214 4.447 6.690
Cr 0.886 4.447 2.370
Cr 2.242 1.482 5.281
Cr 5.501 4.447 1.378
Cr 6.857 1.482 6.274
Cr 8.630 4.447 1.534
Cr 9.985 1.482 6.430
Cr 13.245 4.447 2.526
Cr 14.600 1.482 5.437
Ag 0.755 4.447 6.579
Ag 6.988 1.482 2.675
Ag 8.498 4.447 5.132
Ag 14.732 1.482 1.229
O 0.633 1.482 4.510
O 0.879 3.088 1.413
O 0.879 5.806 1.413
O 2.144 4.447 3.390
O 2.334 0.131 6.235
O 2.334 2.833 6.235
O 3.415 1.482 4.161
O 4.328 4.447 0.257
O 5.409 3.096 2.332
O 5.409 5.798 2.332
O 5.599 1.482 7.294
O 6.865 0.124 5.317
O 6.865 2.841 5.317
O 7.110 4.447 0.606
O 8.377 1.482 7.201
O 8.622 3.088 2.490
O 8.622 5.806 2.490
O 9.887 4.447 0.514
O 10.077 0.131 5.476
O 10.077 2.833 5.476
O 11.158 1.482 7.550
O 12.072 4.447 3.647
O 13.153 3.096 1.572
O 13.153 5.798 1.572
O 13.342 1.482 4.418
O 14.608 0.124 6.394
O 14.608 2.841 6.394
O 14.853 4.447 3.297
```

Top 10 peaks for 2θ = 10–90°, low angle first:
| 2θ/deg | d [Å] | I/Imax |
| --- | --- | --- |
| 11.43 | 7.743 | 51 |
| 16.12 | 5.498 | 21 |
| 22.78 | 3.904 | 25 |
| 27.51 | 3.242 | 72 |
| 27.96 | 3.191 | 100 |
| 29.84 | 2.994 | 19 |
| 30.14 | 2.965 | 37 |
| 36.01 | 2.494 | 19 |
| 48.47 | 1.878 | 24 |
| 52.21 | 1.752 | 19 |